No. 1
The following is a calculated powder XRD pattern of Li3DySb2. It was derived from the GGA-PBE geometry in the Materials Project, using Cu Kα (λ = 1.5418 Å).

Structural model:
Unit cell a=4.547 b=4.547 c=7.169 alpha=90.00 beta=90.00 gamma=120.00
Element x y z (fractional)
Li1 0.000 0.000 0.000
Li2 0.333 0.667 0.147
Li3 0.667 0.333 0.853
Dy1 0.000 0.000 0.500
Sb1 0.333 0.667 0.747
Sb2 0.667 0.333 0.253

Main lines, low angle first (2θ = 10–90°):
2θ = 12.35°, rel. 31, hkl 0 0 1; 2θ = 25.81°, rel. 100, hkl 0 1 1; 2θ = 33.81°, rel. 63, hkl 0 1 2; 2θ = 39.64°, rel. 43, hkl 1 1 0; 2θ = 44.34°, rel. 25, hkl 1 0 3; 2θ = 47.91°, rel. 19, hkl 2 0 1; 2θ = 53.07°, rel. 17, hkl 2 0 2; 2θ = 66.42°, rel. 17, hkl 1 1 4



No. 2
The following is a calculated powder XRD pattern of LiDySe2. It was derived from the GGA-PBE geometry in the Materials Project, using Cu Kα (λ = 1.5418 Å).

Structural model:
Unit cell a=5.694 b=5.694 c=11.576 alpha=90.00 beta=90.00 gamma=90.00
Element x y z (fractional)
Li1 0.000 0.250 0.375
Li2 0.000 0.750 0.625
Li3 0.500 0.250 0.125
Li4 0.500 0.750 0.875
Dy1 0.000 0.250 0.875
Dy2 0.000 0.750 0.125
Dy3 0.500 0.250 0.625
Dy4 0.500 0.750 0.375
Se1 0.000 0.250 0.122
Se2 0.000 0.250 0.628
Se3 0.000 0.750 0.372
Se4 0.000 0.750 0.878
Se5 0.500 0.250 0.378
Se6 0.500 0.250 0.872
Se7 0.500 0.750 0.128
Se8 0.500 0.750 0.622

Main lines, low angle first (2θ = 10–90°):
2θ = 17.36°, rel. 99, hkl 1 0 1; 2θ = 27.93°, rel. 27, hkl 1 0 3; 2θ = 30.90°, rel. 52, hkl 0 0 4; 2θ = 31.42°, rel. 100, hkl 2 0 0; 2θ = 36.12°, rel. 33, hkl 2 1 1; 2θ = 44.65°, rel. 75, hkl 2 0 4; 2θ = 45.03°, rel. 37, hkl 2 2 0; 2θ = 55.61°, rel. 39, hkl 2 2 4



No. 3
The following is a calculated powder XRD pattern of LiDySe2. It was derived from the GGA-PBE geometry in the Materials Project, using Cu Kα (λ = 1.5418 Å).

Structural model:
Unit cell a=4.090 b=4.090 c=5.570 alpha=90.00 beta=90.00 gamma=90.00
Element x y z (fractional)
Li1 0.000 0.000 0.000
Dy1 0.500 0.500 0.500
Se1 0.000 0.000 0.500
Se2 0.500 0.500 0.000

Main lines, low angle first (2θ = 10–90°):
2θ = 15.91°, rel. 56, hkl 0 0 1; 2θ = 21.73°, rel. 54, hkl 1 0 0; 2θ = 30.92°, rel. 100, hkl 1 1 0; 2θ = 32.14°, rel. 45, hkl 0 0 2; 2θ = 34.96°, rel. 33, hkl 1 1 1; 2θ = 44.30°, rel. 37, hkl 2 0 0; 2θ = 45.20°, rel. 70, hkl 1 1 2; 2θ = 55.77°, rel. 37, hkl 2 0 2



No. 4
The following is a calculated powder XRD pattern of LiDySe2. It was derived from the GGA-PBE geometry in the Materials Project, using Cu Kα (λ = 1.5418 Å).

Structural model:
Unit cell a=4.069 b=4.069 c=19.513 alpha=90.00 beta=90.00 gamma=120.00
Element x y z (fractional)
Li1 0.000 0.000 0.000
Li2 0.333 0.667 0.667
Li3 0.667 0.333 0.333
Dy1 0.000 0.000 0.500
Dy2 0.333 0.667 0.167
Dy3 0.667 0.333 0.833
Se1 0.000 0.000 0.251
Se2 0.000 0.000 0.749
Se3 0.333 0.667 0.416
Se4 0.333 0.667 0.918
Se5 0.667 0.333 0.082
Se6 0.667 0.333 0.584

Main lines, low angle first (2θ = 10–90°):
2θ = 13.61°, rel. 52, hkl 0 0 3; 2θ = 25.69°, rel. 38, hkl 1 0 1; 2θ = 31.31°, rel. 100, hkl 1 0 4; 2θ = 34.29°, rel. 19, hkl 0 1 5; 2θ = 44.54°, rel. 38, hkl 1 1 0; 2θ = 45.21°, rel. 36, hkl 0 1 8; 2θ = 55.45°, rel. 20, hkl 0 2 4; 2θ = 73.74°, rel. 17, hkl 2 1 4



No. 5
The following is a calculated powder XRD pattern of LiDySn2. It was derived from the GGA-PBE geometry in the Materials Project, using Cu Kα (λ = 1.5418 Å).

Structural model:
Unit cell a=4.334 b=19.001 c=4.564 alpha=90.00 beta=90.00 gamma=90.00
Element x y z (fractional)
Li1 0.000 0.173 0.250
Li2 0.000 0.827 0.750
Li3 0.500 0.327 0.750
Li4 0.500 0.673 0.250
Dy1 0.000 0.393 0.250
Dy2 0.000 0.607 0.750
Dy3 0.500 0.107 0.750
Dy4 0.500 0.893 0.250
Sn1 0.000 0.043 0.250
Sn2 0.000 0.247 0.750
Sn3 0.000 0.753 0.250
Sn4 0.000 0.957 0.750
Sn5 0.500 0.253 0.250
Sn6 0.500 0.457 0.750
Sn7 0.500 0.543 0.250
Sn8 0.500 0.747 0.750

Main lines, low angle first (2θ = 10–90°):
2θ = 24.90°, rel. 14, hkl 1 3 0; 2θ = 28.18°, rel. 14, hkl 0 6 0; 2θ = 31.31°, rel. 16, hkl 1 5 0; 2θ = 31.79°, rel. 100, hkl 1 3 1; 2θ = 34.47°, rel. 17, hkl 0 6 1; 2θ = 39.49°, rel. 19, hkl 0 0 2; 2θ = 41.68°, rel. 16, hkl 2 0 0; 2θ = 66.82°, rel. 12, hkl 1 3 3



No. 6
The following is a calculated powder XRD pattern of LiDySn. It was derived from the GGA-PBE geometry in the Materials Project, using Cu Kα (λ = 1.5418 Å).

Structural model:
Unit cell a=9.370 b=9.370 c=7.333 alpha=90.00 beta=90.00 gamma=120.00
Element x y z (fractional)
Li1 0.166 0.332 0.000
Li2 0.166 0.834 0.000
Li3 0.332 0.166 0.500
Li4 0.333 0.667 0.373
Li5 0.667 0.333 0.873
Li6 0.668 0.834 0.000
Li7 0.834 0.166 0.500
Li8 0.834 0.668 0.500
Dy1 0.000 0.000 0.214
Dy2 0.000 0.000 0.714
Dy3 0.027 0.513 0.706
Dy4 0.487 0.513 0.706
Dy5 0.487 0.973 0.706
Dy6 0.513 0.027 0.206
Dy7 0.513 0.487 0.206
Dy8 0.973 0.487 0.206
Sn1 0.167 0.335 0.441
Sn2 0.167 0.833 0.441
Sn3 0.333 0.667 0.976
Sn4 0.335 0.167 0.941
Sn5 0.665 0.833 0.441
Sn6 0.667 0.333 0.476
Sn7 0.833 0.167 0.941
Sn8 0.833 0.665 0.941

Main lines, low angle first (2θ = 10–90°):
2θ = 21.91°, rel. 26, hkl 2 0 0; 2θ = 25.08°, rel. 42, hkl 2 0 1; 2θ = 32.93°, rel. 100, hkl 2 0 2; 2θ = 38.43°, rel. 55, hkl 2 2 0; 2θ = 51.48°, rel. 26, hkl 4 0 2; 2θ = 64.55°, rel. 21, hkl 2 2 4; 2θ = 66.04°, rel. 23, hkl 4 2 2; 2θ = 82.37°, rel. 12, hkl 4 4 0



No. 7
The following is a calculated powder XRD pattern of Li2DyTl. It was derived from the GGA-PBE geometry in the Materials Project, using Cu Kα (λ = 1.5418 Å).

Structural model:
Unit cell a=6.861 b=6.861 c=6.861 alpha=90.00 beta=90.00 gamma=90.00
Element x y z (fractional)
Li1 0.250 0.250 0.250
Li2 0.250 0.250 0.750
Li3 0.250 0.750 0.250
Li4 0.250 0.750 0.750
Li5 0.750 0.250 0.250
Li6 0.750 0.250 0.750
Li7 0.750 0.750 0.250
Li8 0.750 0.750 0.750
Dy1 0.000 0.000 0.000
Dy2 0.000 0.500 0.500
Dy3 0.500 0.000 0.500
Dy4 0.500 0.500 0.000
Tl1 0.000 0.000 0.500
Tl2 0.000 0.500 0.000
Tl3 0.500 0.000 0.000
Tl4 0.500 0.500 0.500

Main lines, low angle first (2θ = 10–90°):
2θ = 25.97°, rel. 100, hkl 2 0 0; 2θ = 37.06°, rel. 89, hkl 2 2 0; 2θ = 45.81°, rel. 29, hkl 2 2 2; 2θ = 53.42°, rel. 16, hkl 4 0 0; 2θ = 60.33°, rel. 39, hkl 4 2 0; 2θ = 66.80°, rel. 32, hkl 4 2 2; 2θ = 78.93°, rel. 10, hkl 4 4 0; 2θ = 84.78°, rel. 19, hkl 6 0 0



No. 8
The following is a calculated powder XRD pattern of LiDyTl2. It was derived from the GGA-PBE geometry in the Materials Project, using Cu Kα (λ = 1.5418 Å).

Structural model:
Unit cell a=7.356 b=7.356 c=7.356 alpha=90.00 beta=90.00 gamma=90.00
Element x y z (fractional)
Li1 0.000 0.000 0.000
Li2 0.000 0.500 0.500
Li3 0.500 0.000 0.500
Li4 0.500 0.500 0.000
Dy1 0.000 0.000 0.500
Dy2 0.000 0.500 0.000
Dy3 0.500 0.000 0.000
Dy4 0.500 0.500 0.500
Tl1 0.250 0.250 0.250
Tl2 0.250 0.250 0.750
Tl3 0.250 0.750 0.250
Tl4 0.250 0.750 0.750
Tl5 0.750 0.250 0.250
Tl6 0.750 0.250 0.750
Tl7 0.750 0.750 0.250
Tl8 0.750 0.750 0.750

Main lines, low angle first (2θ = 10–90°):
2θ = 20.92°, rel. 18, hkl 1 1 1; 2θ = 24.20°, rel. 21, hkl 2 0 0; 2θ = 34.49°, rel. 100, hkl 2 2 0; 2θ = 40.68°, rel. 10, hkl 3 1 1; 2θ = 49.57°, rel. 18, hkl 4 0 0; 2θ = 61.79°, rel. 38, hkl 4 2 2; 2θ = 72.72°, rel. 12, hkl 4 4 0; 2θ = 83.03°, rel. 17, hkl 6 2 0



No. 9
The following is a calculated powder XRD pattern of LiDy2Tl. It was derived from the GGA-PBE geometry in the Materials Project, using Cu Kα (λ = 1.5418 Å).

Structural model:
Unit cell a=7.473 b=7.473 c=7.473 alpha=90.00 beta=90.00 gamma=90.00
Element x y z (fractional)
Li1 0.000 0.000 0.000
Li2 0.000 0.500 0.500
Li3 0.500 0.000 0.500
Li4 0.500 0.500 0.000
Dy1 0.250 0.250 0.250
Dy2 0.250 0.250 0.750
Dy3 0.250 0.750 0.250
Dy4 0.250 0.750 0.750
Dy5 0.750 0.250 0.250
Dy6 0.750 0.250 0.750
Dy7 0.750 0.750 0.250
Dy8 0.750 0.750 0.750
Tl1 0.000 0.000 0.500
Tl2 0.000 0.500 0.000
Tl3 0.500 0.000 0.000
Tl4 0.500 0.500 0.500

Main lines, low angle first (2θ = 10–90°):
2θ = 20.59°, rel. 31, hkl 1 1 1; 2θ = 33.93°, rel. 100, hkl 2 2 0; 2θ = 40.01°, rel. 18, hkl 3 1 1; 2θ = 48.74°, rel. 18, hkl 4 0 0; 2θ = 53.44°, rel. 8, hkl 3 3 1; 2θ = 60.71°, rel. 38, hkl 4 2 2; 2θ = 71.40°, rel. 12, hkl 4 4 0; 2θ = 81.45°, rel. 17, hkl 6 2 0



No. 10
The following is a calculated powder XRD pattern of Dy3Lu. It was derived from the GGA-PBE geometry in the Materials Project, using Cu Kα (λ = 1.5418 Å).

Structural model:
Unit cell a=7.185 b=7.185 c=5.653 alpha=90.00 beta=90.00 gamma=120.00
Element x y z (fractional)
Dy1 0.167 0.335 0.250
Dy2 0.167 0.833 0.250
Dy3 0.335 0.167 0.750
Dy4 0.665 0.833 0.250
Dy5 0.833 0.167 0.750
Dy6 0.833 0.665 0.750
Lu1 0.333 0.667 0.750
Lu2 0.667 0.333 0.250

Main lines, low angle first (2θ = 10–90°):
2θ = 28.69°, rel. 24, hkl 2 0 0; 2θ = 31.66°, rel. 25, hkl 0 0 2; 2θ = 32.86°, rel. 100, hkl 2 0 1; 2θ = 43.25°, rel. 16, hkl 2 0 2; 2θ = 50.83°, rel. 20, hkl 2 2 0; 2θ = 57.15°, rel. 21, hkl 2 0 3; 2θ = 61.13°, rel. 23, hkl 2 2 2; 2θ = 61.86°, rel. 16, hkl 4 0 1



No. 11
The following is a calculated powder XRD pattern of Dy3Lu. It was derived from the GGA-PBE geometry in the Materials Project, using Cu Kα (λ = 1.5418 Å).

Structural model:
Unit cell a=4.975 b=4.975 c=9.989 alpha=90.00 beta=90.00 gamma=90.00
Element x y z (fractional)
Dy1 0.000 0.000 0.000
Dy2 0.000 0.500 0.250
Dy3 0.000 0.500 0.750
Dy4 0.500 0.000 0.250
Dy5 0.500 0.000 0.750
Dy6 0.500 0.500 0.500
Lu1 0.000 0.000 0.500
Lu2 0.500 0.500 0.000

Main lines, low angle first (2θ = 10–90°):
2θ = 31.10°, rel. 100, hkl 1 1 2; 2θ = 35.96°, rel. 17, hkl 0 0 4; 2θ = 36.11°, rel. 34, hkl 2 0 0; 2θ = 51.88°, rel. 24, hkl 2 0 4; 2θ = 61.63°, rel. 14, hkl 1 1 6; 2θ = 61.83°, rel. 28, hkl 3 1 2; 2θ = 64.84°, rel. 12, hkl 2 2 4; 2θ = 84.78°, rel. 12, hkl 3 1 6



No. 12
The following is a calculated powder XRD pattern of DyLuRh2. It was derived from the GGA-PBE geometry in the Materials Project, using Cu Kα (λ = 1.5418 Å).

Structural model:
Unit cell a=6.790 b=6.790 c=6.790 alpha=90.00 beta=90.00 gamma=90.00
Element x y z (fractional)
Dy1 0.000 0.000 0.000
Dy2 0.000 0.500 0.500
Dy3 0.500 0.000 0.500
Dy4 0.500 0.500 0.000
Lu1 0.000 0.000 0.500
Lu2 0.000 0.500 0.000
Lu3 0.500 0.000 0.000
Lu4 0.500 0.500 0.500
Rh1 0.250 0.250 0.250
Rh2 0.250 0.250 0.750
Rh3 0.250 0.750 0.250
Rh4 0.250 0.750 0.750
Rh5 0.750 0.250 0.250
Rh6 0.750 0.250 0.750
Rh7 0.750 0.750 0.250
Rh8 0.750 0.750 0.750

Main lines, low angle first (2θ = 10–90°):
2θ = 26.25°, rel. 6, hkl 2 0 0; 2θ = 37.46°, rel. 100, hkl 2 2 0; 2θ = 46.32°, rel. 2, hkl 2 2 2; 2θ = 54.02°, rel. 17, hkl 4 0 0; 2θ = 61.03°, rel. 3, hkl 4 2 0; 2θ = 67.59°, rel. 35, hkl 4 2 2; 2θ = 79.92°, rel. 11, hkl 4 4 0; 2θ = 85.88°, rel. 1, hkl 6 0 0



No. 13
The following is a calculated powder XRD pattern of DyLuRu2. It was derived from the GGA-PBE geometry in the Materials Project, using Cu Kα (λ = 1.5418 Å).

Structural model:
Unit cell a=6.736 b=6.736 c=6.736 alpha=90.00 beta=90.00 gamma=90.00
Element x y z (fractional)
Dy1 0.000 0.000 0.000
Dy2 0.000 0.500 0.500
Dy3 0.500 0.000 0.500
Dy4 0.500 0.500 0.000
Lu1 0.000 0.000 0.500
Lu2 0.000 0.500 0.000
Lu3 0.500 0.000 0.000
Lu4 0.500 0.500 0.500
Ru1 0.250 0.250 0.250
Ru2 0.250 0.250 0.750
Ru3 0.250 0.750 0.250
Ru4 0.250 0.750 0.750
Ru5 0.750 0.250 0.250
Ru6 0.750 0.250 0.750
Ru7 0.750 0.750 0.250
Ru8 0.750 0.750 0.750

Main lines, low angle first (2θ = 10–90°):
2θ = 26.46°, rel. 7, hkl 2 0 0; 2θ = 37.77°, rel. 100, hkl 2 2 0; 2θ = 46.71°, rel. 2, hkl 2 2 2; 2θ = 54.49°, rel. 17, hkl 4 0 0; 2θ = 61.57°, rel. 3, hkl 4 2 0; 2θ = 68.21°, rel. 35, hkl 4 2 2; 2θ = 80.69°, rel. 11, hkl 4 4 0; 2θ = 86.74°, rel. 2, hkl 6 0 0



No. 14
The following is a calculated powder XRD pattern of DyLuTl2. It was derived from the GGA-PBE geometry in the Materials Project, using Cu Kα (λ = 1.5418 Å).

Structural model:
Unit cell a=7.536 b=7.536 c=7.536 alpha=90.00 beta=90.00 gamma=90.00
Element x y z (fractional)
Dy1 0.000 0.000 0.000
Dy2 0.000 0.500 0.500
Dy3 0.500 0.000 0.500
Dy4 0.500 0.500 0.000
Lu1 0.000 0.000 0.500
Lu2 0.000 0.500 0.000
Lu3 0.500 0.000 0.000
Lu4 0.500 0.500 0.500
Tl1 0.250 0.250 0.250
Tl2 0.250 0.250 0.750
Tl3 0.250 0.750 0.250
Tl4 0.250 0.750 0.750
Tl5 0.750 0.250 0.250
Tl6 0.750 0.250 0.750
Tl7 0.750 0.750 0.250
Tl8 0.750 0.750 0.750

Main lines, low angle first (2θ = 10–90°):
2θ = 23.61°, rel. 1, hkl 2 0 0; 2θ = 33.64°, rel. 100, hkl 2 2 0; 2θ = 48.31°, rel. 18, hkl 4 0 0; 2θ = 60.15°, rel. 38, hkl 4 2 2; 2θ = 70.72°, rel. 12, hkl 4 4 0; 2θ = 80.63°, rel. 17, hkl 6 2 0



No. 15
The following is a calculated powder XRD pattern of DyLuZn2. It was derived from the GGA-PBE geometry in the Materials Project, using Cu Kα (λ = 1.5418 Å).

Structural model:
Unit cell a=7.084 b=7.084 c=7.084 alpha=90.00 beta=90.00 gamma=90.00
Element x y z (fractional)
Dy1 0.000 0.000 0.000
Dy2 0.000 0.500 0.500
Dy3 0.500 0.000 0.500
Dy4 0.500 0.500 0.000
Lu1 0.000 0.000 0.500
Lu2 0.000 0.500 0.000
Lu3 0.500 0.000 0.000
Lu4 0.500 0.500 0.500
Zn1 0.250 0.250 0.250
Zn2 0.250 0.250 0.750
Zn3 0.250 0.750 0.250
Zn4 0.250 0.750 0.750
Zn5 0.750 0.250 0.250
Zn6 0.750 0.250 0.750
Zn7 0.750 0.750 0.250
Zn8 0.750 0.750 0.750

Main lines, low angle first (2θ = 10–90°):
2θ = 25.14°, rel. 20, hkl 2 0 0; 2θ = 35.85°, rel. 100, hkl 2 2 0; 2θ = 44.29°, rel. 6, hkl 2 2 2; 2θ = 51.61°, rel. 18, hkl 4 0 0; 2θ = 58.24°, rel. 8, hkl 4 2 0; 2θ = 64.43°, rel. 36, hkl 4 2 2; 2θ = 75.99°, rel. 11, hkl 4 4 0; 2θ = 86.98°, rel. 16, hkl 6 2 0